(1)
The following is a calculated powder diffraction line list of CeSi2Ag. It was derived from DFT lattice parameters and positions (PBE), using Cu Ka.
Peak positions follow from Bragg's law for the DFT cell and can differ from measured ones.

Principal peaks in the range 2θ = 10–90°, in order of rising 2θ:
d (Å)  Position (°2θ)  intensity
3.807  23.4  14
3.053  29.3  11
2.951  30.3  18
2.705  33.1  18
2.655  33.8  100
2.108  42.9  17
2.096  43.2  17
1.640  56.1  11
1.486  62.5  11
1.300  72.7  12

Unit cell a=9.097 b=9.097 c=4.217 alpha=90.00 beta=90.00 gamma=153.35
Element x y z (fractional)
Ce 0.095 0.905 0.750
Ce 0.905 0.095 0.250
Si 0.338 0.662 0.750
Si 0.469 0.531 0.750
Si 0.531 0.469 0.250
Si 0.662 0.338 0.250
Ag 0.248 0.752 0.250
Ag 0.752 0.248 0.750

---

(2)
The following is a calculated powder diffraction line list of CeAgSn. It was derived from DFT lattice parameters and positions (PBE), using Cu Ka.
Peak positions follow from Bragg's law for the DFT cell and can differ from measured ones.

Principal peaks in the range 2θ = 10–90°, in order of rising 2θ:
d (Å)  Position (°2θ)  intensity
2.800  32.0  100
2.425  37.1  78
2.151  42.0  13
1.833  49.7  29
1.485  62.6  19
1.462  63.6  27
1.400  66.8  15
1.213  79.0  10
1.122  86.8  8
1.113  87.7  12

Unit cell a=4.851 b=4.851 c=7.510 alpha=90.00 beta=90.00 gamma=120.00
Element x y z (fractional)
Ce 0.000 0.000 0.000
Ce 0.000 0.000 0.500
Ag 0.333 0.667 0.298
Ag 0.667 0.333 0.798
Sn 0.333 0.667 0.726
Sn 0.667 0.333 0.226

---

(3)
The following is a calculated powder diffraction line list of CeAgSn. It was derived from DFT lattice parameters and positions (PBE), using Cu Ka.
Peak positions follow from Bragg's law for the DFT cell and can differ from measured ones.

Principal peaks in the range 2θ = 10–90°, in order of rising 2θ:
d (Å)  Position (°2θ)  intensity
2.618  34.3  90
2.562  35.0  100
2.010  45.1  8
1.831  49.8  31
1.490  62.3  31
1.479  62.8  18
1.370  68.5  19
1.281  74.0  11
1.151  84.1  14
1.093  89.7  10

Unit cell a=5.124 b=5.124 c=6.485 alpha=90.00 beta=90.00 gamma=120.00
Element x y z (fractional)
Ce 0.000 0.000 0.216
Ce 0.000 0.000 0.784
Ag 0.333 0.667 0.995
Ag 0.667 0.333 0.005
Sn 0.333 0.667 0.519
Sn 0.667 0.333 0.481

---

(4)
The following is a calculated powder diffraction line list of Ag2Cl3. It was derived from DFT lattice parameters and positions (PBE), using Cu Ka.
Peak positions follow from Bragg's law for the DFT cell and can differ from measured ones.

Principal peaks in the range 2θ = 10–90°, in order of rising 2θ:
d (Å)  Position (°2θ)  intensity
4.903  18.1  50
3.595  24.8  59
3.351  26.6  63
2.938  30.4  27
2.452  36.7  26
2.257  39.9  100
1.979  45.9  25
1.935  47.0  47
1.469  63.3  23
1.170  82.4  22

Unit cell a=7.229 b=7.229 c=7.229 alpha=55.24 beta=55.24 gamma=55.24
Element x y z (fractional)
Ag 0.157 0.157 0.157
Ag 0.343 0.343 0.343
Ag 0.657 0.657 0.657
Ag 0.843 0.843 0.843
Cl 0.068 0.750 0.432
Cl 0.250 0.568 0.932
Cl 0.432 0.068 0.750
Cl 0.568 0.932 0.250
Cl 0.750 0.432 0.068
Cl 0.932 0.250 0.568

---

(5)
The following is a calculated powder diffraction line list of Ag3Cl. It was derived from DFT lattice parameters and positions (PBE), using Cu Ka.
Peak positions follow from Bragg's law for the DFT cell and can differ from measured ones.

Principal peaks in the range 2θ = 10–90°, in order of rising 2θ:
d (Å)  Position (°2θ)  intensity
5.430  16.3  18
2.715  33.0  25
2.387  37.7  24
2.360  38.1  100
1.885  48.3  10
1.793  50.9  14
1.568  58.9  16
1.373  68.3  16
1.310  72.1  17
1.306  72.4  12

Unit cell a=6.270 b=6.270 c=4.773 alpha=90.00 beta=90.00 gamma=120.00
Element x y z (fractional)
Ag 0.155 0.309 0.250
Ag 0.155 0.845 0.250
Ag 0.309 0.155 0.750
Ag 0.691 0.845 0.250
Ag 0.845 0.155 0.750
Ag 0.845 0.691 0.750
Cl 0.333 0.667 0.750
Cl 0.667 0.333 0.250

---

(6)
The following is a calculated powder diffraction line list of AgCl. It was derived from DFT lattice parameters and positions (PBE), using Cu Ka.
Peak positions follow from Bragg's law for the DFT cell and can differ from measured ones.

Principal peaks in the range 2θ = 10–90°, in order of rising 2θ:
d (Å)  Position (°2θ)  intensity
3.246  27.5  51
2.811  31.8  100
1.988  45.6  69
1.695  54.1  24
1.623  56.7  23
1.406  66.5  10
1.290  73.4  9
1.257  75.6  29
1.148  84.4  22

Unit cell a=3.976 b=3.976 c=3.976 alpha=60.00 beta=60.00 gamma=60.00
Element x y z (fractional)
Ag 0.000 0.000 0.000
Cl 0.500 0.500 0.500

---

(7)
The following is a calculated powder diffraction line list of AgCl. It was derived from DFT lattice parameters and positions (PBE), using Cu Ka.
Peak positions follow from Bragg's law for the DFT cell and can differ from measured ones.

Principal peaks in the range 2θ = 10–90°, in order of rising 2θ:
d (Å)  Position (°2θ)  intensity
3.434  25.9  33
2.428  37.0  100
1.983  45.8  10
1.717  53.4  16
1.536  60.3  13
1.402  66.7  32
1.214  78.8  10
1.145  84.7  6

Unit cell a=3.434 b=3.434 c=3.434 alpha=90.00 beta=90.00 gamma=90.00
Element x y z (fractional)
Ag 0.000 0.000 0.000
Cl 0.500 0.500 0.500

---

(8)
The following is a calculated powder diffraction line list of AgCl. It was derived from DFT lattice parameters and positions (PBE), using Cu Ka.
Peak positions follow from Bragg's law for the DFT cell and can differ from measured ones.

Principal peaks in the range 2θ = 10–90°, in order of rising 2θ:
d (Å)  Position (°2θ)  intensity
3.358  26.5  24
3.251  27.4  42
2.796  32.0  100
2.786  32.1  51
2.432  37.0  18
2.047  44.3  43
2.002  45.3  21
1.908  47.7  20
1.719  53.3  12
1.626  56.6  18

Unit cell a=3.927 b=4.003 c=5.599 alpha=90.00 beta=95.63 gamma=90.00
Element x y z (fractional)
Ag 0.184 0.250 0.218
Ag 0.816 0.750 0.782
Cl 0.292 0.250 0.737
Cl 0.708 0.750 0.263

---

(9)
The following is a calculated powder diffraction line list of AgCl. It was derived from DFT lattice parameters and positions (PBE), using Cu Ka.
Peak positions follow from Bragg's law for the DFT cell and can differ from measured ones.

Principal peaks in the range 2θ = 10–90°, in order of rising 2θ:
d (Å)  Position (°2θ)  intensity
3.589  24.8  48
3.257  27.4  50
2.887  31.0  64
2.655  33.8  100
2.225  40.5  97
1.971  46.0  42
1.888  48.2  20
1.628  56.5  21
1.580  58.4  18
1.412  66.2  23

Unit cell a=6.074 b=6.074 c=3.944 alpha=90.00 beta=90.00 gamma=143.78
Element x y z (fractional)
Ag 0.107 0.893 0.750
Ag 0.893 0.107 0.250
Cl 0.368 0.632 0.750
Cl 0.632 0.368 0.250

---

(10)
The following is a calculated powder diffraction line list of Cs5CoAgCl8. It was derived from DFT lattice parameters and positions (PBE), using Cu Ka.
Peak positions follow from Bragg's law for the DFT cell and can differ from measured ones.

Principal peaks in the range 2θ = 10–90°, in order of rising 2θ:
d (Å)  Position (°2θ)  intensity
4.157  21.4  35
4.015  22.1  16
3.715  24.0  32
3.337  26.7  20
3.175  28.1  100
2.985  29.9  56
2.110  42.9  14
2.068  43.8  13
1.875  48.6  15
1.647  55.8  18

Unit cell a=13.769 b=9.438 c=13.773 alpha=69.94 beta=40.08 gamma=69.98
Element x y z (fractional)
Cs 0.092 0.092 0.408
Cs 0.093 0.907 0.093
Cs 0.094 0.597 0.719
Cs 0.281 0.409 0.906
Cs 0.409 0.281 0.403
Cs 0.588 0.775 0.225
Cs 0.592 0.592 0.908
Cs 0.597 0.094 0.591
Cs 0.775 0.588 0.412
Cs 0.907 0.093 0.907
Co 0.091 0.591 0.409
Co 0.591 0.091 0.909
Ag 0.373 0.871 0.627
Ag 0.871 0.373 0.129
Cl 0.011 0.399 0.601
Cl 0.171 0.511 0.216
Cl 0.195 0.195 0.805
Cl 0.244 0.946 0.556
Cl 0.284 0.672 0.328
Cl 0.399 0.011 0.989
Cl 0.444 0.747 0.756
Cl 0.487 0.487 0.513
Cl 0.511 0.171 0.101
Cl 0.672 0.284 0.716
Cl 0.683 0.979 0.317
Cl 0.747 0.444 0.054
Cl 0.784 0.899 0.829
Cl 0.899 0.784 0.489
Cl 0.946 0.244 0.253
Cl 0.979 0.683 0.021

---

(11)
The following is a calculated powder diffraction line list of Cs2GaAgCl6. It was derived from DFT lattice parameters and positions (PBE), using Cu Ka.
Peak positions follow from Bragg's law for the DFT cell and can differ from measured ones.

Principal peaks in the range 2θ = 10–90°, in order of rising 2θ:
d (Å)  Position (°2θ)  intensity
3.689  24.1  100
3.012  29.7  23
2.608  34.4  61
2.130  42.4  44
1.844  49.4  40
1.650  55.7  22
1.506  61.6  13
1.394  67.1  24
1.230  77.7  11
1.167  82.7  16

Unit cell a=7.378 b=7.378 c=7.378 alpha=60.00 beta=60.00 gamma=60.00
Element x y z (fractional)
Cs 0.250 0.250 0.250
Cs 0.750 0.750 0.750
Ga 0.000 0.000 0.000
Ag 0.500 0.500 0.500
Cl 0.233 0.233 0.767
Cl 0.233 0.767 0.233
Cl 0.233 0.767 0.767
Cl 0.767 0.233 0.233
Cl 0.767 0.233 0.767
Cl 0.767 0.767 0.233

---

(12)
The following is a calculated powder diffraction line list of Cs2GdAgCl6. It was derived from DFT lattice parameters and positions (PBE), using Cu Ka.
Peak positions follow from Bragg's law for the DFT cell and can differ from measured ones.

Principal peaks in the range 2θ = 10–90°, in order of rising 2θ:
d (Å)  Position (°2θ)  intensity
3.858  23.1  100
2.728  32.8  55
2.227  40.5  46
1.929  47.1  38
1.725  53.1  21
1.575  58.6  13
1.458  63.8  24
1.286  73.7  12
1.220  78.4  16
1.114  87.6  13

Unit cell a=7.715 b=7.715 c=7.715 alpha=60.00 beta=60.00 gamma=60.00
Element x y z (fractional)
Cs 0.250 0.250 0.250
Cs 0.750 0.750 0.750
Gd 0.000 0.000 0.000
Ag 0.500 0.500 0.500
Cl 0.245 0.245 0.755
Cl 0.245 0.755 0.245
Cl 0.245 0.755 0.755
Cl 0.755 0.245 0.245
Cl 0.755 0.245 0.755
Cl 0.755 0.755 0.245